The following is a computed powder diffraction line list of AlCl3. It was derived from a structure optimized by DFT (GGA-PBE), using Cu Kα (weighted mean of Kα1 and Kα2).
Intensities are scaled so that the largest is 100.

```
AlCl3
1.0
3.665 0.000 0.000
-1.832 3.174 0.000
0.000 0.000 7.073
Al Cl
1 3
direct
0.000 0.000 0.000
0.000 0.000 0.500
0.333 0.667 0.823
0.667 0.333 0.177
```

Principal peaks in the range 2θ = 10–90°, low angle first:
- 2θ = 12.5°, intensity 16
- 2θ = 28.1°, intensity 8
- 2θ = 30.9°, intensity 67
- 2θ = 38.1°, intensity 100
- 2θ = 48.1°, intensity 4
- 2θ = 49.8°, intensity 36
- 2θ = 59.7°, intensity 7
- 2θ = 59.9°, intensity 19
- 2θ = 64.4°, intensity 26
- 2θ = 81.4°, intensity 6
- 2θ = 81.5°, intensity 8
- 2θ = 85.5°, intensity 15


The following is a computed powder diffraction line list of Al2CrCl8. It was derived from a structure optimized by DFT (GGA-PBE), using Cu Kα (weighted mean of Kα1 and Kα2).
Intensities are scaled so that the largest is 100.

```
Al2CrCl8
1.0
15.720 0.000 0.000
0.000 6.190 0.000
0.000 0.000 13.785
Al Cr Cl
8 4 32
direct
0.005 0.104 0.000
0.243 0.615 0.180
0.257 0.615 0.680
0.495 0.104 0.500
0.505 0.896 0.000
0.743 0.385 0.180
0.757 0.385 0.680
0.995 0.896 0.500
0.127 0.254 0.590
0.373 0.254 0.090
0.627 0.746 0.590
0.873 0.746 0.090
0.002 0.449 0.001
0.011 0.035 0.648
0.113 0.987 0.925
0.116 0.038 0.445
0.135 0.501 0.256
0.136 0.472 0.735
0.242 0.475 0.532
0.247 0.960 0.179
0.253 0.960 0.679
0.258 0.475 0.032
0.364 0.472 0.235
0.365 0.501 0.756
0.384 0.038 0.945
0.387 0.987 0.425
0.489 0.035 0.148
0.498 0.449 0.501
0.502 0.551 0.001
0.511 0.965 0.648
0.613 0.013 0.925
0.616 0.962 0.445
0.635 0.499 0.256
0.636 0.528 0.735
0.742 0.525 0.532
0.747 0.040 0.179
0.753 0.040 0.679
0.758 0.525 0.032
0.864 0.528 0.235
0.865 0.499 0.756
0.884 0.962 0.945
0.887 0.013 0.425
0.989 0.965 0.148
0.998 0.551 0.501
```

Principal peaks in the range 2θ = 10–90°, low angle first:
- 2θ = 12.8°, intensity 63
- 2θ = 13.0°, intensity 41
- 2θ = 17.1°, intensity 39
- 2θ = 23.2°, intensity 23
- 2θ = 25.8°, intensity 24
- 2θ = 28.8°, intensity 35
- 2θ = 29.7°, intensity 50
- 2θ = 29.9°, intensity 100
- 2θ = 39.3°, intensity 37
- 2θ = 45.7°, intensity 46
- 2θ = 46.2°, intensity 22
- 2θ = 51.8°, intensity 22


The following is a computed powder diffraction line list of Cs3AlCl6. It was derived from a structure optimized by DFT (GGA-PBE), using Cu Kα (weighted mean of Kα1 and Kα2).
Intensities are scaled so that the largest is 100.

```
Cs3AlCl6
1.0
0.000 5.624 5.624
5.624 0.000 5.624
5.624 5.624 0.000
Cs Al Cl
3 1 6
direct
0.000 0.000 0.000
0.250 0.250 0.250
0.750 0.750 0.750
0.500 0.500 0.500
0.291 0.291 0.709
0.291 0.709 0.291
0.291 0.709 0.709
0.709 0.291 0.291
0.709 0.291 0.709
0.709 0.709 0.291
```

Principal peaks in the range 2θ = 10–90°, low angle first:
- 2θ = 22.4°, intensity 100
- 2θ = 26.3°, intensity 14
- 2θ = 27.5°, intensity 27
- 2θ = 31.8°, intensity 56
- 2θ = 34.8°, intensity 17
- 2θ = 39.2°, intensity 38
- 2θ = 45.6°, intensity 35
- 2θ = 51.4°, intensity 28
- 2θ = 61.7°, intensity 28
- 2θ = 71.1°, intensity 11
- 2θ = 75.6°, intensity 12
- 2θ = 88.7°, intensity 16


The following is a computed powder diffraction line list of Cs2AlCuCl6. It was derived from a structure optimized by DFT (GGA-PBE), using Cu Kα (weighted mean of Kα1 and Kα2).
Intensities are scaled so that the largest is 100.

```
Cs2AlCuCl6
1.0
0.000 5.053 5.053
5.053 0.000 5.053
5.053 5.053 0.000
Cs Al Cu Cl
2 1 1 6
direct
0.250 0.250 0.250
0.750 0.750 0.750
0.000 0.000 0.000
0.500 0.500 0.500
0.237 0.237 0.763
0.237 0.763 0.237
0.237 0.763 0.763
0.763 0.237 0.237
0.763 0.237 0.763
0.763 0.763 0.237
```

Principal peaks in the range 2θ = 10–90°, low angle first:
- 2θ = 24.9°, intensity 100
- 2θ = 30.6°, intensity 70
- 2θ = 35.5°, intensity 78
- 2θ = 43.9°, intensity 43
- 2θ = 51.1°, intensity 51
- 2θ = 57.7°, intensity 21
- 2θ = 60.8°, intensity 25
- 2θ = 63.8°, intensity 17
- 2θ = 69.6°, intensity 23
- 2θ = 80.7°, intensity 11
- 2θ = 83.4°, intensity 10
- 2θ = 86.0°, intensity 21